LiVP4O12: simulated powder XRD pattern (Cu Ka), based on a cell relaxed with PBE+U.
Peak positions follow from Bragg's law for the DFT cell and can differ from measured ones.

Peak list (10 most intense, 2θ = 10–90°, in order of rising 2θ)
- 13.5°, rel. 32
- 18.4°, rel. 53
- 21.0°, rel. 34
- 21.6°, rel. 62
- 22.4°, rel. 25
- 23.7°, rel. 34
- 27.0°, rel. 100
- 27.2°, rel. 28
- 31.3°, rel. 24
- 33.8°, rel. 24

```
36
Lattice="7.745 -3.683 0.000 7.745 3.683 0.000 -5.192 0.000 8.213" Properties=species:S:1:pos:R:3 pbc="T T T"
Li 3.851 2.275 6.160
Li 6.447 -2.275 2.053
V 6.447 0.976 2.053
V 3.851 -0.976 6.160
P -1.289 0.589 5.262
P 1.291 1.244 6.897
P 1.307 -0.589 1.156
P 6.412 1.244 5.422
P 3.887 -1.244 2.791
P 8.992 0.589 7.057
P 9.008 -1.244 1.316
P 11.588 -0.589 2.951
O 3.708 3.059 4.422
O 1.028 0.910 1.710
O 4.825 2.208 2.245
O 0.191 0.787 5.875
O 3.994 3.059 7.897
O 6.012 1.069 0.102
O -1.568 -0.910 5.817
O 8.070 2.208 1.861
O 2.590 0.587 6.489
O 2.787 -0.787 1.769
O 6.883 1.069 4.005
O 5.113 0.587 5.831
O 5.186 -0.587 2.382
O 3.416 -1.069 4.208
O 7.512 0.787 6.444
O 7.709 -0.587 1.724
O 2.229 -2.208 6.351
O 11.867 0.910 2.396
O 4.287 -1.069 8.111
O 6.304 -3.059 0.316
O 10.108 -0.787 2.338
O 5.474 -2.208 5.968
O 9.271 -0.910 6.503
O 6.590 -3.059 3.791
```